Starting from DFT lattice parameters and positions (PBE), the powder diffractogram of KNbTePdI was computed for Cu Kα (λ = 1.5418 Å).
Intensities are scaled so that the largest is 100.

Cell lengths 4.451, 4.451, 9.236 Å; angles 90.00, 90.00, 120.00 degrees
Atoms (fractional coordinates):
K: 0.000 0.000 0.000
Nb: 0.667 0.333 0.545
Te: 0.333 0.667 0.730
Pd: 0.000 0.000 0.608
I: 0.667 0.333 0.245

Peak list (12 most intense, 2θ = 10–80°, sorted by position)
- 2θ = 19.22°, intensity 35
- 2θ = 25.03°, intensity 100
- 2θ = 30.20°, intensity 42
- 2θ = 37.38°, intensity 77
- 2θ = 40.53°, intensity 76
- 2θ = 41.75°, intensity 18
- 2θ = 45.23°, intensity 22
- 2θ = 45.81°, intensity 24
- 2θ = 48.23°, intensity 17
- 2θ = 56.32°, intensity 23
- 2θ = 64.78°, intensity 13
- 2θ = 71.66°, intensity 22

---

Starting from DFT lattice parameters and positions (PBE), the powder diffractogram of DyTm5Sn2 was computed for Cu Kα (λ = 1.5418 Å).
Intensities are scaled so that the largest is 100.

Cell lengths 3.519, 10.375, 12.432 Å; angles 90.00, 90.00, 90.00 degrees
Atoms (fractional coordinates):
Dy: 0.000 0.000 0.000
Dy: 0.500 0.500 0.500
Tm: 0.000 0.226 0.365
Tm: 0.000 0.226 0.635
Tm: 0.000 0.500 0.000
Tm: 0.000 0.774 0.365
Tm: 0.000 0.774 0.635
Tm: 0.500 0.000 0.500
Tm: 0.500 0.274 0.135
Tm: 0.500 0.274 0.865
Tm: 0.500 0.726 0.135
Tm: 0.500 0.726 0.865
Sn: 0.000 0.500 0.261
Sn: 0.000 0.500 0.739
Sn: 0.500 0.000 0.239
Sn: 0.500 0.000 0.761

Peak list (12 most intense, 2θ = 10–80°, sorted by position)
- 2θ = 31.56°, intensity 91
- 2θ = 33.41°, intensity 64
- 2θ = 33.61°, intensity 100
- 2θ = 34.58°, intensity 42
- 2θ = 36.43°, intensity 17
- 2θ = 48.85°, intensity 35
- 2θ = 51.98°, intensity 19
- 2θ = 59.68°, intensity 13
- 2θ = 61.12°, intensity 28
- 2θ = 63.34°, intensity 35
- 2θ = 63.94°, intensity 14
- 2θ = 70.65°, intensity 12

---

Starting from DFT lattice parameters and positions (PBE), the powder diffractogram of KPm2CuO4 was computed for Cu Kα (λ = 1.5418 Å).
Intensities are scaled so that the largest is 100.

Cell lengths 6.258, 6.258, 12.053 Å; angles 90.00, 90.00, 146.84 degrees
Atoms (fractional coordinates):
K: 0.098 0.902 0.750
K: 0.902 0.098 0.250
Pm: 0.368 0.632 0.561
Pm: 0.368 0.632 0.939
Pm: 0.632 0.368 0.061
Pm: 0.632 0.368 0.439
Cu: 0.178 0.822 0.250
Cu: 0.822 0.178 0.750
O: 0.000 0.000 0.000
O: 0.000 0.000 0.500
O: 0.255 0.745 0.100
O: 0.255 0.745 0.400
O: 0.421 0.579 0.750
O: 0.579 0.421 0.250
O: 0.745 0.255 0.600
O: 0.745 0.255 0.900

Peak list (12 most intense, 2θ = 10–80°, sorted by position)
- 2θ = 14.72°, intensity 50
- 2θ = 16.51°, intensity 92
- 2θ = 26.03°, intensity 29
- 2θ = 26.71°, intensity 84
- 2θ = 29.79°, intensity 50
- 2θ = 30.02°, intensity 69
- 2θ = 34.45°, intensity 100
- 2θ = 36.90°, intensity 92
- 2θ = 40.32°, intensity 48
- 2θ = 51.07°, intensity 53
- 2θ = 51.18°, intensity 76
- 2θ = 60.30°, intensity 26

---

Starting from DFT lattice parameters and positions (PBE), the powder diffractogram of Sm2AlNi2 was computed for Cu Kα (λ = 1.5418 Å).
Intensities are scaled so that the largest is 100.

Cell lengths 4.227, 5.456, 8.558 Å; angles 90.00, 90.00, 90.00 degrees
Atoms (fractional coordinates):
Sm: 0.000 0.000 0.202
Sm: 0.000 0.000 0.798
Sm: 0.500 0.500 0.298
Sm: 0.500 0.500 0.702
Al: 0.000 0.500 0.000
Al: 0.500 0.000 0.500
Ni: 0.000 0.263 0.500
Ni: 0.000 0.737 0.500
Ni: 0.500 0.237 0.000
Ni: 0.500 0.763 0.000

Peak list (12 most intense, 2θ = 10–80°, sorted by position)
- 2θ = 26.68°, intensity 80
- 2θ = 34.04°, intensity 100
- 2θ = 35.51°, intensity 35
- 2θ = 38.06°, intensity 53
- 2θ = 39.16°, intensity 51
- 2θ = 40.76°, intensity 45
- 2θ = 42.79°, intensity 34
- 2θ = 54.96°, intensity 21
- 2θ = 56.78°, intensity 18
- 2θ = 59.39°, intensity 44
- 2θ = 68.41°, intensity 33
- 2θ = 68.83°, intensity 13

---

Starting from DFT lattice parameters and positions (PBE), the powder diffractogram of Dy2Tm8Mg was computed for Cu Kα (λ = 1.5418 Å).
Intensities are scaled so that the largest is 100.

Cell lengths 9.940, 9.940, 6.321 Å; angles 94.68, 94.68, 31.95 degrees
Atoms (fractional coordinates):
Dy: 0.243 0.243 0.334
Dy: 0.757 0.757 0.666
Tm: 0.046 0.046 0.265
Tm: 0.152 0.152 0.809
Tm: 0.339 0.339 0.873
Tm: 0.421 0.421 0.405
Tm: 0.579 0.579 0.595
Tm: 0.661 0.661 0.127
Tm: 0.848 0.848 0.191
Tm: 0.954 0.954 0.735
Mg: 0.500 0.500 0.000

Peak list (12 most intense, 2θ = 10–80°, sorted by position)
- 2θ = 28.34°, intensity 5
- 2θ = 30.44°, intensity 20
- 2θ = 31.04°, intensity 19
- 2θ = 32.73°, intensity 31
- 2θ = 32.83°, intensity 100
- 2θ = 45.30°, intensity 14
- 2θ = 48.88°, intensity 9
- 2θ = 50.02°, intensity 6
- 2θ = 58.49°, intensity 19
- 2θ = 60.07°, intensity 9
- 2θ = 61.05°, intensity 12
- 2θ = 61.26°, intensity 7